Structure and simulated powder diffractogram of SmY3Ho3 (a structure optimized by DFT (PBE); λ = 1.5418 Å (Cu Kα)).
Neutral-atom scattering factors, no anomalous dispersion.

Atomic structure:
```
SmY3Ho3
1.0
4.9296 2.8461 2.7401
-4.9296 2.8461 2.7401
0.0000 -5.6922 2.7401
Sm Y Ho
1 3 3
Direct
0.0000 0.0000 0.0000
0.4522 0.8526 0.8526
0.8526 0.4522 0.8526
0.8526 0.8526 0.4522
0.0606 0.4108 0.4108
0.4108 0.0606 0.4108
0.4108 0.4108 0.0606
```

The 10 most intense peaks (2θ = 10–90°), low angle first:
2θ = 23.48°, intensity 46; 2θ = 29.74°, intensity 27; 2θ = 30.18°, intensity 94; 2θ = 31.43°, intensity 100; 2θ = 32.68°, intensity 32; 2θ = 35.36°, intensity 80; 2θ = 39.61°, intensity 28; 2θ = 44.14°, intensity 22; 2θ = 45.98°, intensity 33; 2θ = 55.96°, intensity 27